Simulated powder diffractogram
Compound: LiCo3CuO8
Radiation: Cu Kα (λ = 1.5418 Å)
Structure: a structure optimized by DFT (PBE+U)
Kinematic intensities with the Lorentz-polarization factor, no thermal factor.

Structure:
```
13
Lattice="4.939 -2.830 0.000 4.939 2.830 0.000 -3.421 0.000 5.006" Properties=species:S:1:pos:R:3 pbc="T T T"
Li 0.000 0.000 0.000
Co 0.759 1.415 2.503
Co 0.759 -1.415 2.503
Co 3.229 0.000 2.503
Cu -1.710 0.000 2.503
O 2.361 1.388 3.481
O 0.031 0.000 3.450
O 1.594 0.000 1.507
O 4.097 1.388 1.525
O 2.361 -1.388 3.481
O 4.864 0.000 3.500
O 6.427 0.000 1.557
O 4.097 -1.388 1.525
```

Largest 10 diffraction maxima, by angle, 2θ from 10° to 90°:
two_theta  I (rel.)
17.72  100
37.03  28
38.72  5
43.79  28
44.43  14
48.16  5
56.61  10
62.67  7
65.62  7
68.99  7